No. 1
CaCd3Co: calculated powder X-ray diffraction pattern (Cu Ka), based on a structure optimized by DFT (PBE).
Lines closer than 0.1° are merged.

Cell and atoms:
a = 4.9765 Å, b = 4.9765 Å, c = 4.9765 Å
α = 90.00°, β = 90.00°, γ = 90.00°
Space group Pm-3m (No. 221)
Inequivalent atoms, fractional coordinates:
Ca 0.0000 0.0000 0.0000 x1
Cd 0.0000 0.5000 0.5000 x3
Co 0.5000 0.5000 0.5000 x1

Most intense lines, 10° ≤ 2θ ≤ 90°, in order of rising 2θ:
- (1 0 0), 17.8 deg, I 50
- (1 1 1), 31.1 deg, I 100
- (2 0 0), 36.1 deg, I 96
- (2 1 0), 40.5 deg, I 25
- (2 2 0), 52.0 deg, I 64
- (3 1 1), 61.8 deg, I 39
- (2 2 2), 64.9 deg, I 21
- (4 2 0), 87.7 deg, I 28



No. 2
Sr2BiO: calculated powder X-ray diffraction pattern (Cu Ka), based on a structure optimized by DFT (PBE).
Lines closer than 0.1° are merged.

Cell and atoms:
a = 8.0910 Å, b = 4.4105 Å, c = 12.8985 Å
α = 90.00°, β = 90.00°, γ = 90.00°
Space group Pnma (No. 62)
Inequivalent atoms, fractional coordinates:
Sr 0.1418 0.2500 0.2450 x4
Sr 0.1475 0.2500 0.9531 x4
Bi 0.0772 0.2500 0.5973 x4
O 0.0428 0.7500 0.8944 x4

Most intense lines, 10° ≤ 2θ ≤ 90°, in order of rising 2θ:
- (1 0 1), 12.9 deg, I 35
- (1 1 2), 26.9 deg, I 55
- (0 1 3), 29.0 deg, I 100
- (2 1 0), 30.0 deg, I 88
- (2 0 3), 30.3 deg, I 81
- (0 2 0), 40.9 deg, I 28
- (0 0 6), 42.1 deg, I 23
- (2 2 3), 51.8 deg, I 38



No. 3
NdGa12Rh4: calculated powder X-ray diffraction pattern (Cu Ka), based on a structure optimized by DFT (PBE).
Lines closer than 0.1° are merged.

Cell and atoms:
a = 8.7783 Å, b = 8.7783 Å, c = 8.7783 Å
α = 90.00°, β = 90.00°, γ = 90.00°
Space group Im-3 (No. 204)
Inequivalent atoms, fractional coordinates:
Nd 0.0000 0.0000 0.0000 x2
Ga 0.0000 0.1593 0.3411 x24
Rh 0.2500 0.2500 0.2500 x8

Most intense lines, 10° ≤ 2θ ≤ 90°, in order of rising 2θ:
- (2 0 0), 20.2 deg, I 15
- (2 2 0), 28.8 deg, I 32
- (3 1 0), 32.2 deg, I 100
- (3 2 1), 38.4 deg, I 53
- (4 2 0), 46.3 deg, I 32
- (4 2 2), 51.0 deg, I 56
- (4 1 3), 53.2 deg, I 30
- (6 3 1), 73.1 deg, I 17



No. 4
CaHoCd14: calculated powder X-ray diffraction pattern (Cu Ka), based on a structure optimized by DFT (PBE).
Lines closer than 0.1° are merged.

Cell and atoms:
a = 6.5973 Å, b = 6.5973 Å, c = 8.5803 Å
α = 90.00°, β = 90.00°, γ = 90.00°
Space group P4/mmm (No. 123)
Inequivalent atoms, fractional coordinates:
Ca 0.0000 0.0000 0.0000 x1
Ho 0.5000 0.5000 0.0000 x1
Cd 0.0000 0.0000 0.5000 x1
Cd 0.0000 0.5000 0.0000 x2
Cd 0.0000 0.5000 0.5000 x2
Cd 0.2514 0.2514 0.2597 x8
Cd 0.5000 0.5000 0.5000 x1

Most intense lines, 10° ≤ 2θ ≤ 90°, in order of rising 2θ:
- (2 0 2), 34.3 deg, I 100
- (2 2 0), 38.6 deg, I 36
- (0 0 4), 42.1 deg, I 14
- (4 0 0), 55.7 deg, I 12
- (2 2 4), 58.5 deg, I 20
- (4 2 2), 67.1 deg, I 26
- (2 0 6), 72.0 deg, I 10
- (4 0 4), 72.3 deg, I 10